1.
The following is a theoretical XRD peak list of CaTb4Pm2Dy. It was derived from a DFT-relaxed cell (GGA-PBE, Alexandria), using a wavelength of 1.5418 Å.

Cell and atoms:
```
data_CaTb4Pm2Dy
_cell_length_a 7.223
_cell_length_b 7.250
_cell_length_c 11.725
_cell_angle_alpha 90.00
_cell_angle_beta 90.02
_cell_angle_gamma 119.87
_symmetry_space_group_name_H-M 'P -1'
_symmetry_Int_Tables_number 2
_symmetry_space_group_name_Hall '-P 1'
loop_
_atom_site_label
_atom_site_fract_x
_atom_site_fract_y
_atom_site_fract_z
Ca1 0.000 0.000 0.000
Ca2 0.500 0.000 0.000
Tb1 0.163 0.827 0.258
Tb2 0.169 0.338 0.251
Tb3 0.331 0.662 0.749
Tb4 0.336 0.173 0.743
Pm1 0.000 0.000 0.500
Pm2 0.000 0.500 0.500
Pm3 0.500 0.500 0.000
Pm4 0.500 0.500 0.500
Dy1 0.000 0.500 0.000
Dy2 0.500 0.000 0.500
```

Peak list (10 most intense, 2θ = 10–90°, in order of rising 2θ)
d 3.036, 2θ 29.42, I = 29, hkl 0 2 -1; d 3.025, 2θ 29.52, I = 59, hkl -2 2 1; d 2.931, 2θ 30.50, I = 56, hkl 0 0 4; d 2.766, 2θ 32.36, I = 100, hkl 0 2 -2; d 2.762, 2θ 32.42, I = 49, hkl 2 0 2; d 2.446, 2θ 36.75, I = 50, hkl 2 -2 3; d 1.878, 2θ 48.48, I = 22, hkl -2 2 5; d 1.812, 2θ 50.34, I = 28, hkl 2 2 0; d 1.658, 2θ 55.40, I = 32, hkl 0 2 -6; d 1.542, 2θ 60.01, I = 32, hkl 2 2 4

=====

2.
The following is a theoretical XRD peak list of Ca2Pr5Dy. It was derived from a DFT-relaxed cell (GGA-PBE, Alexandria), using a wavelength of 1.5418 Å.

Cell and atoms:
```
data_Ca2Pr5Dy
_cell_length_a 5.240
_cell_length_b 5.240
_cell_length_c 21.394
_cell_angle_alpha 90.00
_cell_angle_beta 90.00
_cell_angle_gamma 90.00
_symmetry_space_group_name_H-M 'I 4/m m m'
_symmetry_Int_Tables_number 139
_symmetry_space_group_name_Hall '-I 4 2'
loop_
_atom_site_label
_atom_site_fract_x
_atom_site_fract_y
_atom_site_fract_z
Ca1 0.000 0.000 0.250
Pr1 0.000 0.000 0.000
Pr2 0.000 0.500 0.118
Dy1 0.000 0.000 0.500
```

Peak list (10 most intense, 2θ = 10–90°, in order of rising 2θ)
d 3.046, 2θ 29.32, I = 100, hkl 1 1 4; d 2.674, 2θ 33.51, I = 17, hkl 0 0 8; d 2.620, 2θ 34.22, I = 34, hkl 2 0 0; d 2.569, 2θ 34.92, I = 9, hkl 1 1 6; d 1.872, 2θ 48.65, I = 23, hkl 2 0 8; d 1.853, 2θ 49.18, I = 12, hkl 2 2 0; d 1.607, 2θ 57.35, I = 13, hkl 1 1 12; d 1.583, 2θ 58.29, I = 28, hkl 3 1 4; d 1.523, 2θ 60.82, I = 12, hkl 2 2 8; d 1.214, 2θ 78.86, I = 10, hkl 3 1 12

=====

3.
The following is a theoretical XRD peak list of CaPr5Dy. It was derived from a DFT-relaxed cell (GGA-PBE, Alexandria), using a wavelength of 1.5418 Å.

Cell and atoms:
```
data_CaPr5Dy
_cell_length_a 5.514
_cell_length_b 5.514
_cell_length_c 8.816
_cell_angle_alpha 90.00
_cell_angle_beta 90.00
_cell_angle_gamma 90.00
_symmetry_space_group_name_H-M 'P 4/m m m'
_symmetry_Int_Tables_number 123
_symmetry_space_group_name_Hall '-P 4 2'
loop_
_atom_site_label
_atom_site_fract_x
_atom_site_fract_y
_atom_site_fract_z
Ca1 0.000 0.000 0.000
Pr1 0.000 0.500 0.285
Pr2 0.500 0.500 0.000
Dy1 0.000 0.000 0.500
```

Peak list (10 most intense, 2θ = 10–90°, in order of rising 2θ)
d 4.675, 2θ 18.98, I = 29, hkl 1 0 1; d 2.920, 2θ 30.61, I = 100, hkl 1 1 2; d 2.757, 2θ 32.48, I = 48, hkl 2 0 0; d 2.375, 2θ 37.89, I = 10, hkl 2 1 1; d 2.347, 2θ 38.36, I = 8, hkl 1 1 3; d 1.949, 2θ 46.59, I = 18, hkl 2 2 0; d 1.721, 2θ 53.21, I = 14, hkl 2 0 4; d 1.621, 2θ 56.78, I = 35, hkl 3 1 2; d 1.460, 2θ 63.74, I = 8, hkl 2 2 4; d 1.233, 2θ 77.40, I = 8, hkl 4 2 0

=====

4.
The following is a theoretical XRD peak list of CaPr8Dy4. It was derived from a DFT-relaxed cell (GGA-PBE, Alexandria), using a wavelength of 1.5418 Å.

Cell and atoms:
```
data_CaPr8Dy4
_cell_length_a 11.605
_cell_length_b 5.202
_cell_length_c 15.132
_cell_angle_alpha 90.00
_cell_angle_beta 94.06
_cell_angle_gamma 90.00
_symmetry_space_group_name_H-M 'C 1 2/m 1'
_symmetry_Int_Tables_number 12
_symmetry_space_group_name_Hall '-C 2y'
loop_
_atom_site_label
_atom_site_fract_x
_atom_site_fract_y
_atom_site_fract_z
Ca1 0.000 0.000 0.000
Pr1 0.040 0.500 0.386
Pr2 0.076 0.000 0.766
Pr3 0.194 0.500 0.920
Pr4 0.234 0.000 0.310
Dy1 0.121 0.500 0.159
Dy2 0.152 0.000 0.537
```

Peak list (10 most intense, 2θ = 10–90°, in order of rising 2θ)
d 2.999, 2θ 29.79, I = 100, hkl 3 1 1; d 2.602, 2θ 34.47, I = 34, hkl 0 2 0; d 2.589, 2θ 34.65, I = 17, hkl 4 0 -3; d 1.839, 2θ 49.56, I = 18, hkl 2 2 5; d 1.834, 2θ 49.71, I = 18, hkl 4 2 -3; d 1.569, 2θ 58.88, I = 22, hkl 3 3 1; d 1.567, 2θ 58.94, I = 7, hkl 1 1 9; d 1.564, 2θ 59.07, I = 7, hkl 7 1 -2; d 1.561, 2θ 59.18, I = 7, hkl 5 1 -7; d 1.164, 2θ 82.99, I = 7, hkl 2 4 5

=====

5.
The following is a theoretical XRD peak list of Ca2Pr6Dy. It was derived from a DFT-relaxed cell (GGA-PBE, Alexandria), using a wavelength of 1.5418 Å.

Cell and atoms:
```
data_Ca2Pr6Dy
_cell_length_a 8.744
_cell_length_b 14.130
_cell_length_c 5.587
_cell_angle_alpha 90.00
_cell_angle_beta 90.00
_cell_angle_gamma 90.00
_symmetry_space_group_name_H-M 'C m m m'
_symmetry_Int_Tables_number 65
_symmetry_space_group_name_Hall '-C 2 2'
loop_
_atom_site_label
_atom_site_fract_x
_atom_site_fract_y
_atom_site_fract_z
Ca1 0.000 0.213 0.000
Pr1 0.184 0.367 0.500
Pr2 0.229 0.500 0.000
Dy1 0.000 0.000 0.500
```

Peak list (10 most intense, 2θ = 10–90°, in order of rising 2θ)
d 7.065, 2θ 12.53, I = 51, hkl 0 2 0; d 5.587, 2θ 15.86, I = 42, hkl 0 0 1; d 4.373, 2θ 20.31, I = 37, hkl 2 0 0; d 3.330, 2θ 26.77, I = 74, hkl 1 3 1; d 3.095, 2θ 28.84, I = 98, hkl 2 2 1; d 2.986, 2θ 29.93, I = 78, hkl 0 4 1; d 2.855, 2θ 31.33, I = 54, hkl 3 1 0; d 2.794, 2θ 32.04, I = 74, hkl 0 0 2; d 2.466, 2θ 36.44, I = 100, hkl 2 4 1; d 1.997, 2θ 45.43, I = 39, hkl 3 1 2

=====

6.
The following is a theoretical XRD peak list of CaPr5Dy2. It was derived from a DFT-relaxed cell (GGA-PBE, Alexandria), using a wavelength of 1.5418 Å.

Cell and atoms:
```
data_CaPr5Dy2
_cell_length_a 6.100
_cell_length_b 11.723
_cell_length_c 16.366
_cell_angle_alpha 90.00
_cell_angle_beta 90.00
_cell_angle_gamma 90.00
_symmetry_space_group_name_H-M 'I m m a'
_symmetry_Int_Tables_number 74
_symmetry_space_group_name_Hall '-I 2b 2'
loop_
_atom_site_label
_atom_site_fract_x
_atom_site_fract_y
_atom_site_fract_z
Ca1 0.000 0.250 0.095
Pr1 0.000 0.064 0.894
Pr2 0.000 0.081 0.305
Pr3 0.000 0.250 0.551
Dy1 0.000 0.000 0.500
Dy2 0.250 0.250 0.750
```

Peak list (10 most intense, 2θ = 10–90°, in order of rising 2θ)
d 3.177, 2θ 28.09, I = 27, hkl 0 3 3; d 3.052, 2θ 29.26, I = 100, hkl 2 0 0; d 2.884, 2θ 31.01, I = 54, hkl 1 0 5; d 2.706, 2θ 33.11, I = 18, hkl 2 2 0; d 2.596, 2θ 34.55, I = 23, hkl 2 1 3; d 2.588, 2θ 34.66, I = 30, hkl 1 2 5; d 2.379, 2θ 37.82, I = 19, hkl 1 4 3; d 2.046, 2θ 44.27, I = 22, hkl 2 4 2; d 1.761, 2θ 51.91, I = 16, hkl 3 3 2; d 1.676, 2θ 54.76, I = 25, hkl 2 3 7

=====

7.
The following is a theoretical XRD peak list of CaPrDy2Sb4. It was derived from a DFT-relaxed cell (GGA-PBE, Alexandria), using a wavelength of 1.5418 Å.

Cell and atoms:
```
data_CaPrDy2Sb4
_cell_length_a 6.313
_cell_length_b 6.313
_cell_length_c 12.617
_cell_angle_alpha 90.00
_cell_angle_beta 90.00
_cell_angle_gamma 90.00
_symmetry_space_group_name_H-M 'I 4/m m m'
_symmetry_Int_Tables_number 139
_symmetry_space_group_name_Hall '-I 4 2'
loop_
_atom_site_label
_atom_site_fract_x
_atom_site_fract_y
_atom_site_fract_z
Ca1 0.000 0.000 0.000
Pr1 0.000 0.000 0.500
Dy1 0.000 0.500 0.250
Sb1 0.000 0.000 0.250
Sb2 0.000 0.500 0.000
```

Peak list (10 most intense, 2θ = 10–90°, in order of rising 2θ)
d 6.309, 2θ 14.04, I = 3, hkl 0 0 2; d 5.646, 2θ 15.70, I = 5, hkl 1 0 1; d 4.464, 2θ 19.89, I = 3, hkl 1 1 0; d 3.156, 2θ 28.28, I = 100, hkl 2 0 0; d 2.231, 2θ 40.42, I = 76, hkl 2 2 0; d 1.822, 2θ 50.06, I = 27, hkl 2 2 4; d 1.578, 2θ 58.49, I = 13, hkl 4 0 0; d 1.411, 2θ 66.22, I = 35, hkl 4 2 0; d 1.288, 2θ 73.51, I = 26, hkl 4 2 4; d 1.116, 2θ 87.41, I = 8, hkl 4 4 0

=====

8.
The following is a theoretical XRD peak list of CaPrDySc. It was derived from a DFT-relaxed cell (GGA-PBE, Alexandria), using a wavelength of 1.5418 Å.

Cell and atoms:
```
data_CaPrDySc
_cell_length_a 8.031
_cell_length_b 8.031
_cell_length_c 8.031
_cell_angle_alpha 90.00
_cell_angle_beta 90.00
_cell_angle_gamma 90.00
_symmetry_space_group_name_H-M 'F -4 3 m'
_symmetry_Int_Tables_number 216
_symmetry_space_group_name_Hall 'F -4 2 3'
loop_
_atom_site_label
_atom_site_fract_x
_atom_site_fract_y
_atom_site_fract_z
Ca1 0.000 0.000 0.000
Pr1 0.250 0.250 0.250
Dy1 0.250 0.250 0.750
Sc1 0.000 0.000 0.500
```

Peak list (10 most intense, 2θ = 10–90°, in order of rising 2θ)
d 4.015, 2θ 22.14, I = 36, hkl 2 0 0; d 2.839, 2θ 31.51, I = 100, hkl 2 2 0; d 2.318, 2θ 38.85, I = 12, hkl 2 2 2; d 2.008, 2θ 45.16, I = 18, hkl 4 0 0; d 1.796, 2θ 50.85, I = 17, hkl 4 2 0; d 1.639, 2θ 56.10, I = 38, hkl 4 2 2; d 1.420, 2θ 65.78, I = 12, hkl 4 4 0; d 1.338, 2θ 70.34, I = 8, hkl 6 0 0; d 1.270, 2θ 74.76, I = 16, hkl 6 2 0; d 1.211, 2θ 79.10, I = 5, hkl 6 2 2

=====

9.
The following is a theoretical XRD peak list of CaPr6SmDy2. It was derived from a DFT-relaxed cell (GGA-PBE, Alexandria), using a wavelength of 1.5418 Å.

Cell and atoms:
```
data_CaPr6SmDy2
_cell_length_a 9.313
_cell_length_b 15.605
_cell_length_c 9.973
_cell_angle_alpha 90.00
_cell_angle_beta 98.45
_cell_angle_gamma 90.00
_symmetry_space_group_name_H-M 'C 1 2/c 1'
_symmetry_Int_Tables_number 15
_symmetry_space_group_name_Hall '-C 2yc'
loop_
_atom_site_label
_atom_site_fract_x
_atom_site_fract_y
_atom_site_fract_z
Ca1 0.000 0.098 0.250
Pr1 0.062 0.325 0.447
Pr2 0.103 0.106 0.622
Pr3 0.204 0.271 0.823
Sm1 0.000 0.473 0.750
Dy1 0.247 0.451 0.045
```

Peak list (10 most intense, 2θ = 10–90°, in order of rising 2θ)
d 3.222, 2θ 27.69, I = 71, hkl 1 3 2; d 3.030, 2θ 29.48, I = 60, hkl 0 2 3; d 3.006, 2θ 29.72, I = 92, hkl 3 1 -1; d 2.956, 2θ 30.24, I = 49, hkl 1 5 0; d 2.928, 2θ 30.53, I = 47, hkl 2 4 -1; d 2.916, 2θ 30.66, I = 100, hkl 2 2 2; d 2.869, 2θ 31.18, I = 61, hkl 1 5 -1; d 2.756, 2θ 32.49, I = 82, hkl 1 3 -3; d 2.445, 2θ 36.76, I = 30, hkl 1 1 -4; d 1.572, 2θ 58.75, I = 25, hkl 4 0 4

=====

10.
The following is a theoretical XRD peak list of CaPrSmDy. It was derived from a DFT-relaxed cell (GGA-PBE, Alexandria), using a wavelength of 1.5418 Å.

Cell and atoms:
```
data_CaPrSmDy
_cell_length_a 3.667
_cell_length_b 3.667
_cell_length_c 10.529
_cell_angle_alpha 90.00
_cell_angle_beta 90.00
_cell_angle_gamma 90.00
_symmetry_space_group_name_H-M 'P 4 m m'
_symmetry_Int_Tables_number 99
_symmetry_space_group_name_Hall 'P 4 -2'
loop_
_atom_site_label
_atom_site_fract_x
_atom_site_fract_y
_atom_site_fract_z
Ca1 0.000 0.000 0.000
Pr1 0.500 0.500 0.270
Sm1 0.500 0.500 0.736
Dy1 0.000 0.000 0.507
```

Peak list (10 most intense, 2θ = 10–90°, in order of rising 2θ)
d 3.009, 2θ 29.69, I = 100, hkl 1 0 2; d 2.632, 2θ 34.06, I = 16, hkl 0 0 4; d 2.593, 2θ 34.60, I = 34, hkl 1 1 0; d 2.535, 2θ 35.40, I = 11, hkl 1 0 3; d 1.847, 2θ 49.34, I = 22, hkl 1 1 4; d 1.833, 2θ 49.73, I = 12, hkl 2 0 0; d 1.583, 2θ 58.29, I = 12, hkl 1 0 6; d 1.566, 2θ 59.00, I = 28, hkl 2 1 2; d 1.504, 2θ 61.65, I = 11, hkl 2 0 4; d 1.198, 2θ 80.10, I = 9, hkl 2 1 6

=====

11.
The following is a theoretical XRD peak list of CaPrDyTl. It was derived from a DFT-relaxed cell (GGA-PBE, Alexandria), using a wavelength of 1.5418 Å.

Cell and atoms:
```
data_CaPrDyTl
_cell_length_a 7.913
_cell_length_b 7.913
_cell_length_c 7.913
_cell_angle_alpha 90.00
_cell_angle_beta 90.00
_cell_angle_gamma 90.00
_symmetry_space_group_name_H-M 'F -4 3 m'
_symmetry_Int_Tables_number 216
_symmetry_space_group_name_Hall 'F -4 2 3'
loop_
_atom_site_label
_atom_site_fract_x
_atom_site_fract_y
_atom_site_fract_z
Ca1 0.000 0.000 0.000
Pr1 0.250 0.250 0.250
Dy1 0.250 0.250 0.750
Tl1 0.000 0.000 0.500
```

Peak list (10 most intense, 2θ = 10–90°, in order of rising 2θ)
d 4.568, 2θ 19.43, I = 18, hkl 1 1 1; d 2.798, 2θ 31.99, I = 100, hkl 2 2 0; d 2.386, 2θ 37.71, I = 11, hkl 3 1 1; d 1.978, 2θ 45.87, I = 18, hkl 4 0 0; d 1.815, 2θ 50.26, I = 5, hkl 3 3 1; d 1.615, 2θ 57.02, I = 39, hkl 4 2 2; d 1.523, 2θ 60.83, I = 4, hkl 5 1 1; d 1.399, 2θ 66.89, I = 12, hkl 4 4 0; d 1.251, 2θ 76.08, I = 17, hkl 6 2 0; d 1.142, 2θ 84.91, I = 4, hkl 4 4 4

=====

12.
The following is a theoretical XRD peak list of CaPr6Dy2Y. It was derived from a DFT-relaxed cell (GGA-PBE, Alexandria), using a wavelength of 1.5418 Å.

Cell and atoms:
```
data_CaPr6Dy2Y
_cell_length_a 9.272
_cell_length_b 15.654
_cell_length_c 9.951
_cell_angle_alpha 90.00
_cell_angle_beta 98.54
_cell_angle_gamma 90.00
_symmetry_space_group_name_H-M 'C 1 2/c 1'
_symmetry_Int_Tables_number 15
_symmetry_space_group_name_Hall '-C 2yc'
loop_
_atom_site_label
_atom_site_fract_x
_atom_site_fract_y
_atom_site_fract_z
Ca1 0.000 0.098 0.250
Pr1 0.060 0.325 0.448
Pr2 0.107 0.105 0.623
Pr3 0.202 0.271 0.822
Dy1 0.248 0.450 0.043
Y1 0.000 0.474 0.750
```

Peak list (10 most intense, 2θ = 10–90°, in order of rising 2θ)
d 6.126, 2θ 14.46, I = 27, hkl 0 2 1; d 3.219, 2θ 27.71, I = 62, hkl 1 3 2; d 3.025, 2θ 29.53, I = 59, hkl 0 2 3; d 2.994, 2θ 29.84, I = 100, hkl 3 1 -1; d 2.963, 2θ 30.16, I = 47, hkl 1 5 0; d 2.928, 2θ 30.53, I = 44, hkl 2 4 -1; d 2.906, 2θ 30.76, I = 95, hkl 2 2 2; d 2.875, 2θ 31.10, I = 57, hkl 1 5 -1; d 2.756, 2θ 32.49, I = 72, hkl 1 3 -3; d 2.441, 2θ 36.83, I = 29, hkl 1 1 -4